Entry 1:
Starting from the PBE geometry in the Materials Project, the powder diffractogram of Na5GaGe2 was calculated for Cu Kα (λ = 1.5418 Å).
Neutral-atom scattering factors, no anomalous dispersion.

Atomic structure:
```
data_Na5GaGe2
_chemical_formula_sum 'Na10 Ga2 Ge4'
_space_group_name_H-M_alt 'P 1 21/m 1'
_space_group_IT_number 11
_cell_length_a 5.653
_cell_length_b 9.298
_cell_length_c 8.337
_cell_angle_alpha 90.00
_cell_angle_beta 97.52
_cell_angle_gamma 90.00
loop_
_space_group_symop_operation_xyz
'x,y,z'
'-x,-y,-z'
'-x,y+1/2,-z'
'x,-y+1/2,z'
loop_
_atom_site_label
_atom_site_type_symbol
_atom_site_fract_x
_atom_site_fract_y
_atom_site_fract_z
Na1 Na 0.067 0.250 0.482
Na2 Na 0.180 0.572 0.884
Na3 Na 0.405 0.576 0.311
Ga1 Ga 0.310 0.250 0.094
Ge1 Ge 0.068 0.250 0.839
Ge2 Ge 0.462 0.750 0.645
```

Peak list (10 most intense, 2θ from 10° to 90°, in order of rising 2θ)
2θ/deg  intensity
19.09  67
20.32  100
32.37  24
33.03  25
34.13  66
36.26  33
42.40  23
43.08  20
55.51  23
59.63  16

***

Entry 2:
Starting from the PBE geometry in the Materials Project, the powder diffractogram of LiYF4 was calculated for Cu Kα (λ = 1.5418 Å).
Neutral-atom scattering factors, no anomalous dispersion.

Atomic structure:
```
data_LiYF4
_chemical_formula_sum 'Li4 Y4 F16'
_space_group_name_H-M_alt 'C 1 2/c 1'
_space_group_IT_number 15
_cell_length_a 7.371
_cell_length_b 10.865
_cell_length_c 5.230
_cell_angle_alpha 90.00
_cell_angle_beta 134.37
_cell_angle_gamma 90.00
loop_
_space_group_symop_operation_xyz
'x,y,z'
'-x,-y,-z'
'-x,y,-z+1/2'
'x,-y,z+1/2'
'x+1/2,y+1/2,z'
'-x+1/2,-y+1/2,-z'
'-x+1/2,y+1/2,-z+1/2'
'x+1/2,-y+1/2,z+1/2'
loop_
_atom_site_label
_atom_site_type_symbol
_atom_site_fract_x
_atom_site_fract_y
_atom_site_fract_z
Li1 Li 0.000 0.120 0.250
Y1 Y 0.000 0.374 0.750
F1 F 0.164 0.206 0.133
F2 F 0.218 0.457 0.298
```

Peak list (10 most intense, 2θ from 10° to 90°, in order of rising 2θ)
2θ/deg  intensity
18.72  97
18.83  100
28.99  71
29.28  70
29.97  25
39.13  34
39.40  35
45.16  29
48.11  29
48.32  29

***

Entry 3:
Starting from the PBE geometry in the Materials Project, the powder diffractogram of Ba was calculated for Cu Kα (λ = 1.5418 Å).
Neutral-atom scattering factors, no anomalous dispersion.

Atomic structure:
```
data_Ba
_chemical_formula_sum 'Ba1'
_space_group_name_H-M_alt 'P 4/m m m'
_space_group_IT_number 123
_space_group_name_Hall '-P 4 2'
_cell_length_a 4.000
_cell_length_b 4.000
_cell_length_c 3.606
_cell_angle_alpha 90.00
_cell_angle_beta 90.00
_cell_angle_gamma 90.00
loop_
_atom_site_label
_atom_site_type_symbol
_atom_site_fract_x
_atom_site_fract_y
_atom_site_fract_z
Ba1 Ba 0.000 0.000 0.000
```

Peak list (10 most intense, 2θ from 10° to 90°, in order of rising 2θ)
2θ/deg  intensity
22.23  100
24.69  39
31.64  41
33.46  71
40.54  41
45.35  15
51.06  21
52.31  20
55.95  16
57.52  29

***

Entry 4:
Starting from the PBE geometry in the Materials Project, the powder diffractogram of Tm6FeBi2 was calculated for Cu Kα (λ = 1.5418 Å).
Neutral-atom scattering factors, no anomalous dispersion.

Atomic structure:
```
data_Tm6FeBi2
_chemical_formula_sum 'Tm6 Fe1 Bi2'
_space_group_name_H-M_alt 'P -6 2 m'
_space_group_IT_number 189
_space_group_name_Hall 'P -6 -2'
_cell_length_a 8.2282
_cell_length_b 8.2282
_cell_length_c 4.1434
_cell_angle_alpha 90.00
_cell_angle_beta 90.00
_cell_angle_gamma 120.00
loop_
_atom_site_label
_atom_site_type_symbol
_atom_site_fract_x
_atom_site_fract_y
_atom_site_fract_z
Tm1 Tm 0.0000 0.2296 0.0000
Tm2 Tm 0.0000 0.6129 0.5000
Fe1 Fe 0.0000 0.0000 0.5000
Bi1 Bi 0.3333 0.6667 0.0000
```

Peak list (10 most intense, 2θ from 10° to 90°, in order of rising 2θ)
2θ/deg  intensity
30.62  100
33.16  50
33.27  54
37.88  31
39.92  35
43.69  21
56.00  25
59.18  17
60.92  20
63.95  22

***

Entry 5:
Starting from the PBE geometry in the Materials Project, the powder diffractogram of Ca2MgTl was calculated for Cu Kα (λ = 1.5418 Å).
Neutral-atom scattering factors, no anomalous dispersion.

Atomic structure:
```
data_Ca2MgTl
_chemical_formula_sum 'Ca8 Mg4 Tl4'
_space_group_name_H-M_alt 'F m -3 m'
_space_group_IT_number 225
_space_group_name_Hall '-F 4 2 3'
_cell_length_a 7.807
_cell_length_b 7.807
_cell_length_c 7.807
_cell_angle_alpha 90.00
_cell_angle_beta 90.00
_cell_angle_gamma 90.00
loop_
_atom_site_label
_atom_site_type_symbol
_atom_site_fract_x
_atom_site_fract_y
_atom_site_fract_z
Ca1 Ca 0.250 0.250 0.250
Mg1 Mg 0.000 0.000 0.000
Tl1 Tl 0.000 0.000 0.500
```

Peak list (10 most intense, 2θ from 10° to 90°, in order of rising 2θ)
2θ/deg  intensity
19.70  70
22.78  24
32.44  100
38.24  40
46.53  18
50.99  18
57.86  37
61.74  14
71.49  14
77.30  16

***

Entry 6:
Starting from the PBE geometry in the Materials Project, the powder diffractogram of Ag2F3 was calculated for Cu Kα (λ = 1.5418 Å).
Neutral-atom scattering factors, no anomalous dispersion.

Atomic structure:
```
data_Ag2F3
_chemical_formula_sum 'Ag12 F18'
_space_group_name_H-M_alt 'R -3 c'
_space_group_IT_number 167
_space_group_name_Hall '-R 3 2"c'
_cell_length_a 5.8787
_cell_length_b 5.8787
_cell_length_c 16.2120
_cell_angle_alpha 90.00
_cell_angle_beta 90.00
_cell_angle_gamma 120.00
loop_
_atom_site_label
_atom_site_type_symbol
_atom_site_fract_x
_atom_site_fract_y
_atom_site_fract_z
Ag1 Ag 0.0000 0.0000 0.1523
F1 F 0.0000 0.3085 0.2500
```

Peak list (10 most intense, 2θ from 10° to 90°, in order of rising 2θ)
2θ/deg  intensity
20.60  46
28.14  91
30.41  100
41.91  36
45.60  80
52.65  33
54.04  37
59.87  18
73.33  17
76.89  16

***

Entry 7:
Starting from the PBE geometry in the Materials Project, the powder diffractogram of La4NiS7 was calculated for Cu Kα (λ = 1.5418 Å).
Neutral-atom scattering factors, no anomalous dispersion.

Atomic structure:
```
data_La4NiS7
_chemical_formula_sum 'La8 Ni2 S14'
_space_group_name_H-M_alt 'P 63'
_space_group_IT_number 173
_cell_length_a 9.9331
_cell_length_b 9.9331
_cell_length_c 7.0658
_cell_angle_alpha 90.00
_cell_angle_beta 90.00
_cell_angle_gamma 120.00
loop_
_space_group_symop_operation_xyz
'x,y,z'
'x-y,x,z+1/2'
'-y,x-y,z'
'-x,-y,z+1/2'
'-x+y,-x,z'
'y,-x+y,z+1/2'
loop_
_atom_site_label
_atom_site_type_symbol
_atom_site_fract_x
_atom_site_fract_y
_atom_site_fract_z
La1 La 0.1500 0.7786 0.0000
La2 La 0.3333 0.6667 0.5363
Ni1 Ni 0.0000 0.0000 0.2197
S1 S 0.0739 0.5101 0.7569
S2 S 0.0959 0.8700 0.3863
S3 S 0.3333 0.6667 0.1524
```

Peak list (10 most intense, 2θ from 10° to 90°, in order of rising 2θ)
2θ/deg  intensity
24.22  100
25.21  15
30.26  13
32.81  46
33.73  16
36.17  38
43.82  33
44.01  14
44.60  13
45.92  12

***

Entry 8:
Starting from the PBE geometry in the Materials Project, the powder diffractogram of DyAlZn was calculated for Cu Kα (λ = 1.5418 Å).
Neutral-atom scattering factors, no anomalous dispersion.

Atomic structure:
```
data_DyAlZn
_chemical_formula_sum 'Dy2 Al2 Zn2'
_space_group_name_H-M_alt 'P 63/m m c'
_space_group_IT_number 194
_space_group_name_Hall '-P 6c 2c'
_cell_length_a 4.4846
_cell_length_b 4.4846
_cell_length_c 7.1624
_cell_angle_alpha 90.00
_cell_angle_beta 90.00
_cell_angle_gamma 120.00
loop_
_atom_site_label
_atom_site_type_symbol
_atom_site_fract_x
_atom_site_fract_y
_atom_site_fract_z
Dy1 Dy 0.0000 0.0000 0.0000
Al1 Al 0.3333 0.6667 0.2500
Zn1 Zn 0.3333 0.6667 0.7500
```

Peak list (10 most intense, 2θ from 10° to 90°, in order of rising 2θ)
2θ/deg  intensity
22.90  38
34.05  100
40.22  48
51.00  8
53.69  27
56.60  7
66.87  21
69.16  25
73.10  8
85.01  7

***

Entry 9:
Starting from the PBE geometry in the Materials Project, the powder diffractogram of AgC2O2 was calculated for Cu Kα (λ = 1.5418 Å).
Neutral-atom scattering factors, no anomalous dispersion.

Atomic structure:
```
data_AgC2O2
_chemical_formula_sum 'Ag16 C32 O32'
_space_group_name_H-M_alt 'C 1 2 1'
_space_group_IT_number 5
_cell_length_a 20.333
_cell_length_b 7.209
_cell_length_c 7.636
_cell_angle_alpha 90.00
_cell_angle_beta 103.60
_cell_angle_gamma 90.00
loop_
_space_group_symop_operation_xyz
'x,y,z'
'-x,y,-z'
'x+1/2,y+1/2,z'
'-x+1/2,y+1/2,-z'
loop_
_atom_site_label
_atom_site_type_symbol
_atom_site_fract_x
_atom_site_fract_y
_atom_site_fract_z
Ag1 Ag 0.084 0.000 0.441
Ag2 Ag 0.087 0.986 0.944
Ag3 Ag 0.156 0.300 0.690
Ag4 Ag 0.156 0.684 0.188
C1 C 0.006 0.355 0.729
C2 C 0.006 0.634 0.229
C3 C 0.048 0.487 0.335
C4 C 0.048 0.501 0.836
C5 C 0.201 0.803 0.730
C6 C 0.204 0.179 0.228
C7 C 0.245 0.744 0.612
C8 C 0.246 0.240 0.114
O1 O 0.015 0.185 0.704
O2 O 0.015 0.807 0.199
O3 O 0.107 0.502 0.934
O4 O 0.108 0.488 0.436
O5 O 0.146 0.883 0.705
O6 O 0.147 0.101 0.207
O7 O 0.243 0.749 0.446
O8 O 0.244 0.237 0.948
```

Peak list (10 most intense, 2θ from 10° to 90°, in order of rising 2θ)
2θ/deg  intensity
13.07  70
17.00  100
17.95  60
26.32  65
26.43  47
28.34  55
31.81  78
34.69  55
36.97  63
37.37  54

***

Entry 10:
Starting from the PBE geometry in the Materials Project, the powder diffractogram of Dy2Ge3Pt9 was calculated for Cu Kα (λ = 1.5418 Å).
Neutral-atom scattering factors, no anomalous dispersion.

Atomic structure:
```
data_Dy2Ge3Pt9
_chemical_formula_sum 'Dy8 Ge12 Pt36'
_space_group_name_H-M_alt 'C 1 2/c 1'
_space_group_IT_number 15
_cell_length_a 13.520
_cell_length_b 7.833
_cell_length_c 10.133
_cell_angle_alpha 90.00
_cell_angle_beta 116.75
_cell_angle_gamma 90.00
loop_
_space_group_symop_operation_xyz
'x,y,z'
'-x,-y,-z'
'-x,y,-z+1/2'
'x,-y,z+1/2'
'x+1/2,y+1/2,z'
'-x+1/2,-y+1/2,-z'
'-x+1/2,y+1/2,-z+1/2'
'x+1/2,-y+1/2,z+1/2'
loop_
_atom_site_label
_atom_site_type_symbol
_atom_site_fract_x
_atom_site_fract_y
_atom_site_fract_z
Dy1 Dy 0.170 0.085 0.251
Ge1 Ge 0.089 0.230 0.498
Ge2 Ge 0.250 0.250 0.000
Pt1 Pt 0.000 0.367 0.250
Pt2 Pt 0.059 0.081 0.922
Pt3 Pt 0.106 0.310 0.743
Pt4 Pt 0.109 0.412 0.070
Pt5 Pt 0.223 0.417 0.421
```

Peak list (10 most intense, 2θ from 10° to 90°, in order of rising 2θ)
2θ/deg  intensity
37.52  17
37.61  100
37.78  49
38.84  15
39.90  71
40.01  32
46.33  14
55.97  17
70.91  34
71.17  13

***

Entry 11:
Starting from the PBE geometry in the Materials Project, the powder diffractogram of BaMgAgO2 was calculated for Cu Kα (λ = 1.5418 Å).
Neutral-atom scattering factors, no anomalous dispersion.

Atomic structure:
```
data_BaMgAgO2
_chemical_formula_sum 'Ba1 Mg1 Ag1 O2'
_space_group_name_H-M_alt 'P m m 2'
_space_group_IT_number 25
_cell_length_a 3.445
_cell_length_b 4.538
_cell_length_c 6.483
_cell_angle_alpha 90.00
_cell_angle_beta 90.00
_cell_angle_gamma 90.00
loop_
_space_group_symop_operation_xyz
'x,y,z'
'-x,-y,z'
'-x,y,z'
'x,-y,z'
loop_
_atom_site_label
_atom_site_type_symbol
_atom_site_fract_x
_atom_site_fract_y
_atom_site_fract_z
Ba1 Ba 0.000 0.000 0.000
Mg1 Mg 0.000 0.500 0.384
Ag1 Ag 0.500 0.500 0.712
O1 O 0.500 0.000 0.729
O2 O 0.500 0.500 0.226
```

Peak list (10 most intense, 2θ from 10° to 90°, in order of rising 2θ)
2θ/deg  intensity
13.66  86
23.94  100
29.36  64
32.64  65
33.99  65
35.53  55
38.12  70
39.73  36
56.24  42
59.08  31